Record 1
For ScTlAg2F6, a DFT-relaxed cell (GGA-PBE, Alexandria) gives the simulated X-ray diffraction stick pattern in this record (Cu Kα, 1.54184 Å).
No peak broadening, texture or thermal motion is included.

Cell and atoms:
abc: 6.286 6.289 6.300
angles: 60.47 60.54 60.45
Sites, in units of the cell vectors:
Sc 0.000 0.000 0.000
Tl 0.500 0.500 0.500
Ag 0.223 0.222 0.223
Ag 0.777 0.778 0.777
F 0.065 0.346 0.825
F 0.174 0.935 0.655
F 0.346 0.825 0.065
F 0.654 0.175 0.935
F 0.826 0.065 0.345
F 0.935 0.654 0.175

The 10 most intense peaks (10 to 90 degrees two-theta), low angle first:
2θ/deg	I (rel.)
17.33	374
28.16	1000
28.37	906
33.20	281
33.27	385
40.40	371
44.48	253
49.83	295
49.93	204
50.02	235

Record 2
For Na2Cd5Bi4, a DFT-relaxed cell (GGA-PBE, Alexandria) gives the simulated X-ray diffraction stick pattern in this record (Cu Kα, 1.54184 Å).
No peak broadening, texture or thermal motion is included.

Cell and atoms:
abc: 11.796 10.491 6.804
angles: 83.08 61.99 34.93
Sites, in units of the cell vectors:
Na 0.185 0.185 0.815
Na 0.815 0.815 0.185
Cd 0.000 0.000 0.500
Cd 0.250 0.250 0.250
Cd 0.500 0.500 0.000
Cd 0.500 0.500 0.500
Cd 0.750 0.750 0.750
Bi 0.234 0.491 0.509
Bi 0.491 0.234 0.766
Bi 0.509 0.766 0.234
Bi 0.766 0.509 0.491

The 10 most intense peaks (10 to 90 degrees two-theta), low angle first:
2θ/deg	I (rel.)
14.43	193
17.32	1000
21.38	294
29.76	603
34.21	813
35.46	896
35.65	282
38.43	233
42.64	304
56.76	242

Record 3
For MnGaCoSe2, a DFT-relaxed cell (GGA-PBE, Alexandria) gives the simulated X-ray diffraction stick pattern in this record (Cu Kα, 1.54184 Å).
No peak broadening, texture or thermal motion is included.

Cell and atoms:
abc: 4.449 4.449 6.694
angles: 105.35 105.35 46.55
Sites, in units of the cell vectors:
Mn 0.000 0.000 0.000
Ga 0.474 0.474 0.542
Co 0.791 0.791 0.617
Se 0.259 0.259 0.839
Se 0.641 0.641 0.257

The 10 most intense peaks (10 to 90 degrees two-theta), low angle first:
2θ/deg	I (rel.)
13.81	248
22.96	308
29.64	402
29.98	371
30.54	486
32.66	958
42.16	1000
45.94	352
48.31	641
52.02	345